Structure and calculated PXRD pattern of CsAcCo2O6 (a cell relaxed with PBE+U; Cu Kα (weighted mean of Kα1 and Kα2)).

Top 10 peaks for 2θ = 15–90°, sorted by position:
d (Å), 2theta, Rel. int., h k l
4.566, 19.44, 39, 2 0 0
3.708, 24.00, 71, 0 0 2
3.611, 24.65, 100, 2 2 -1
2.949, 30.31, 51, 2 2 1
2.889, 30.95, 13, 0 4 0
2.332, 38.60, 31, 2 2 -3
2.313, 38.95, 15, 4 0 -2
2.290, 39.35, 17, 4 0 0
2.279, 39.54, 13, 0 4 2
1.830, 49.84, 14, 2 2 3

Cell and atoms:
Cell: 9.6820 11.5573 7.8424 Å, 90.00 108.97 90.00°
Space group C2/c (No. 15)
Asymmetric unit:
Cs 0.0000 0.1276 0.2500 x4
Ac 0.0000 0.4202 0.7500 x4
Co 0.2398 0.3675 0.2494 x8
O 0.0734 0.3948 0.0949 x8
O 0.1585 0.2533 0.7148 x8
O 0.2321 0.0120 0.6243 x8